Record 1
For LiCuW, DFT lattice parameters and positions (PBE) gives the computed powder XRD pattern in this record (a wavelength of 1.5418 Å).
Kinematic intensities with the Lorentz-polarization factor, no thermal factor.

Structural model:
Lattice parameters (Å, degrees): 2.987 4.285 13.690 90.00 90.00 90.00
Positions (direct):
Li (0.000, 0.000, 0.000)
Li (0.000, 0.500, 0.500)
Li (0.500, 0.000, 0.500)
Li (0.500, 0.500, 0.000)
Cu (0.000, 0.000, 0.340)
Cu (0.000, 0.500, 0.840)
Cu (0.500, 0.000, 0.840)
Cu (0.500, 0.500, 0.340)
W (0.000, 0.000, 0.679)
W (0.000, 0.500, 0.179)
W (0.500, 0.000, 0.179)
W (0.500, 0.500, 0.679)

Peak list (10 most intense, 10 to 80 degrees two-theta, by angle)
d/Å	Position (°2θ)	I_rel
6.845	12.93	100
3.422	26.04	17
2.412	37.28	29
2.282	39.50	17
2.159	41.84	60
2.143	42.18	15
2.045	44.30	10
1.826	49.95	15
1.562	59.15	11
1.292	73.24	11

Record 2
For PrIn6Hg12, DFT lattice parameters and positions (PBE) gives the computed powder XRD pattern in this record (a wavelength of 1.5418 Å).
Kinematic intensities with the Lorentz-polarization factor, no thermal factor.

Structural model:
Lattice parameters (Å, degrees): 8.750 8.750 8.750 110.28 110.28 110.28
Positions (direct):
Pr (0.000, 0.000, 0.000)
In (0.077, 0.588, 0.378)
In (0.378, 0.077, 0.588)
In (0.412, 0.622, 0.923)
In (0.588, 0.378, 0.077)
In (0.622, 0.923, 0.412)
In (0.923, 0.412, 0.622)
Hg (0.100, 0.166, 0.734)
Hg (0.166, 0.734, 0.100)
Hg (0.201, 0.310, 0.468)
Hg (0.266, 0.900, 0.834)
Hg (0.310, 0.468, 0.201)
Hg (0.468, 0.201, 0.310)
Hg (0.532, 0.799, 0.690)
Hg (0.690, 0.532, 0.799)
Hg (0.734, 0.100, 0.166)
Hg (0.799, 0.690, 0.532)
Hg (0.834, 0.266, 0.900)
Hg (0.900, 0.834, 0.266)

Peak list (10 most intense, 10 to 80 degrees two-theta, by angle)
d/Å	Position (°2θ)	I_rel
2.798	31.98	36
2.701	33.17	100
2.360	38.14	68
1.691	54.26	25
1.647	55.81	22
1.447	64.39	14
1.419	65.79	27
1.406	66.49	13
1.399	66.87	4
1.351	69.61	11

Record 3
For Tb5YTm3, DFT lattice parameters and positions (PBE) gives the computed powder XRD pattern in this record (a wavelength of 1.5418 Å).
Kinematic intensities with the Lorentz-polarization factor, no thermal factor.

Structural model:
Lattice parameters (Å, degrees): 10.410 10.410 10.410 139.45 68.35 127.53
Positions (direct):
Tb (0.157, 0.317, 0.333)
Tb (0.157, 0.824, 0.840)
Tb (0.295, 0.045, 0.250)
Tb (0.485, 0.317, 0.660)
Tb (0.485, 0.824, 0.167)
Tb (0.515, 0.176, 0.833)
Tb (0.515, 0.683, 0.340)
Tb (0.705, 0.955, 0.750)
Tb (0.843, 0.176, 0.160)
Tb (0.843, 0.683, 0.667)
Y (0.340, 0.590, 0.750)
Y (0.660, 0.410, 0.250)
Tm (0.000, 0.000, 0.500)
Tm (0.000, 0.500, 0.000)
Tm (0.180, 0.748, 0.432)
Tm (0.184, 0.252, 0.932)
Tm (0.816, 0.748, 0.068)
Tm (0.820, 0.252, 0.568)

Peak list (10 most intense, 10 to 80 degrees two-theta, by angle)
d/Å	Position (°2θ)	I_rel
3.021	29.57	53
2.899	30.84	100
2.871	31.15	59
2.706	33.10	18
2.696	33.23	63
2.370	37.96	29
2.291	39.32	30
1.716	53.41	19
1.577	58.55	32
1.527	60.63	18

Please write out number 3 again, unchanged.
For Tb5YTm3, DFT lattice parameters and positions (PBE) gives the computed powder XRD pattern in this record (a wavelength of 1.5418 Å).
Kinematic intensities with the Lorentz-polarization factor, no thermal factor.

Structural model:
Lattice parameters (Å, degrees): 10.410 10.410 10.410 139.45 68.35 127.53
Positions (direct):
Tb (0.157, 0.317, 0.333)
Tb (0.157, 0.824, 0.840)
Tb (0.295, 0.045, 0.250)
Tb (0.485, 0.317, 0.660)
Tb (0.485, 0.824, 0.167)
Tb (0.515, 0.176, 0.833)
Tb (0.515, 0.683, 0.340)
Tb (0.705, 0.955, 0.750)
Tb (0.843, 0.176, 0.160)
Tb (0.843, 0.683, 0.667)
Y (0.340, 0.590, 0.750)
Y (0.660, 0.410, 0.250)
Tm (0.000, 0.000, 0.500)
Tm (0.000, 0.500, 0.000)
Tm (0.180, 0.748, 0.432)
Tm (0.184, 0.252, 0.932)
Tm (0.816, 0.748, 0.068)
Tm (0.820, 0.252, 0.568)

Peak list (10 most intense, 10 to 80 degrees two-theta, by angle)
d/Å	Position (°2θ)	I_rel
3.021	29.57	53
2.899	30.84	100
2.871	31.15	59
2.706	33.10	18
2.696	33.23	63
2.370	37.96	29
2.291	39.32	30
1.716	53.41	19
1.577	58.55	32
1.527	60.63	18